Record 1
For La5Sb4Pb, a PBE-relaxed structure gives the computed powder XRD pattern in this record (Cu Kα X-rays).
Intensities are scaled so that the largest is 100.

Principal peaks in the range 2θ = 10–80°, in order of falling intensity:
- 2θ = 27.2°, d = 3.278 Å, I = 100.0
- 2θ = 38.8°, d = 2.318 Å, I = 51.6
- 2θ = 63.4°, d = 1.466 Å, I = 24.1
- 2θ = 47.8°, d = 1.904 Å, I = 14.1
- 2θ = 48.4°, d = 1.881 Å, I = 13.8
- 2θ = 56.1°, d = 1.639 Å, I = 13.1
- 2θ = 38.5°, d = 2.340 Å, I = 13.1
- 2θ = 39.2°, d = 2.297 Å, I = 12.6

Crystal structure
```
data_La5Sb4Pb
_space_group_name_H-M_alt 'I m m m'
_space_group_IT_number 71
_space_group_name_Hall '-I 2 2'
_cell_length_a 4.595
_cell_length_b 6.557
_cell_length_c 23.395
_cell_angle_alpha 90.00
_cell_angle_beta 90.00
_cell_angle_gamma 90.00
loop_
_atom_site_label
_atom_site_type_symbol
_atom_site_fract_x
_atom_site_fract_y
_atom_site_fract_z
La1 La 0.000 0.000 0.000
La2 La 0.000 0.000 0.199
La3 La 0.000 0.000 0.396
Sb1 Sb 0.000 0.500 0.201
Sb2 Sb 0.000 0.500 0.400
Pb1 Pb 0.000 0.500 0.000
```



Record 2
For La4Sb2Pb, a PBE-relaxed structure gives the computed powder XRD pattern in this record (Cu Kα X-rays).
Intensities are scaled so that the largest is 100.

Principal peaks in the range 2θ = 10–80°, in order of falling intensity:
- 2θ = 28.9°, d = 3.090 Å, I = 100.0
- 2θ = 34.3°, d = 2.611 Å, I = 66.6
- 2θ = 58.2°, d = 1.585 Å, I = 28.2
- 2θ = 47.4°, d = 1.916 Å, I = 21.2
- 2θ = 41.3°, d = 2.185 Å, I = 14.9
- 2θ = 45.5°, d = 1.995 Å, I = 14.7
- 2θ = 61.5°, d = 1.508 Å, I = 14.3
- 2θ = 43.4°, d = 2.083 Å, I = 11.6

Crystal structure
```
data_La4Sb2Pb
_space_group_name_H-M_alt 'I -4 2 d'
_space_group_IT_number 122
_space_group_name_Hall 'I -4 2bw'
_cell_length_a 9.765
_cell_length_b 9.765
_cell_length_c 9.782
_cell_angle_alpha 90.00
_cell_angle_beta 90.00
_cell_angle_gamma 90.00
loop_
_atom_site_label
_atom_site_type_symbol
_atom_site_fract_x
_atom_site_fract_y
_atom_site_fract_z
La1 La 0.070 0.676 0.444
Sb1 Sb 0.126 0.750 0.125
Pb1 Pb 0.000 0.000 0.500
```



Record 3
For La5SbPb2, a PBE-relaxed structure gives the computed powder XRD pattern in this record (Cu Kα X-rays).
Intensities are scaled so that the largest is 100.

Principal peaks in the range 2θ = 10–80°, in order of falling intensity:
- 2θ = 28.3°, d = 3.149 Å, I = 100.0
- 2θ = 30.7°, d = 2.912 Å, I = 80.4
- 2θ = 28.8°, d = 3.095 Å, I = 57.8
- 2θ = 29.2°, d = 3.057 Å, I = 56.2
- 2θ = 37.0°, d = 2.427 Å, I = 48.8
- 2θ = 32.8°, d = 2.734 Å, I = 36.3
- 2θ = 47.6°, d = 1.910 Å, I = 29.2
- 2θ = 38.6°, d = 2.333 Å, I = 24.7

Crystal structure
```
data_La5SbPb2
_space_group_name_H-M_alt 'P b a m'
_space_group_IT_number 55
_cell_length_a 8.715
_cell_length_b 13.236
_cell_length_c 4.853
_cell_angle_alpha 90.00
_cell_angle_beta 90.00
_cell_angle_gamma 90.00
loop_
_space_group_symop_operation_xyz
'x,y,z'
'-x,-y,-z'
'-x,-y,z'
'x,y,-z'
'x+1/2,-y+1/2,-z'
'-x+1/2,y+1/2,z'
'-x+1/2,y+1/2,-z'
'x+1/2,-y+1/2,z'
loop_
_atom_site_label
_atom_site_type_symbol
_atom_site_fract_x
_atom_site_fract_y
_atom_site_fract_z
La1 La 0.000 0.000 0.000
La2 La 0.150 0.284 0.000
La3 La 0.212 0.571 0.500
Sb1 Sb 0.000 0.500 0.000
Pb1 Pb 0.081 0.826 0.500
```



Record 4
For La2Sb4Pb, a PBE-relaxed structure gives the computed powder XRD pattern in this record (Cu Kα X-rays).
Intensities are scaled so that the largest is 100.

Principal peaks in the range 2θ = 10–80°, in order of falling intensity:
- 2θ = 32.4°, d = 2.762 Å, I = 100.0
- 2θ = 40.8°, d = 2.211 Å, I = 32.1
- 2θ = 25.2°, d = 3.537 Å, I = 28.8
- 2θ = 30.4°, d = 2.942 Å, I = 24.9
- 2θ = 69.0°, d = 1.361 Å, I = 22.4
- 2θ = 36.7°, d = 2.451 Å, I = 22.3
- 2θ = 51.7°, d = 1.768 Å, I = 18.9
- 2θ = 21.5°, d = 4.141 Å, I = 15.5

Crystal structure
```
data_La2Sb4Pb
_space_group_name_H-M_alt 'P -4 m 2'
_space_group_IT_number 115
_cell_length_a 4.423
_cell_length_b 4.423
_cell_length_c 11.780
_cell_angle_alpha 90.00
_cell_angle_beta 90.00
_cell_angle_gamma 90.00
loop_
_space_group_symop_operation_xyz
'x,y,z'
'y,-x,-z'
'-x,-y,z'
'-y,x,-z'
'-x,y,z'
'-y,-x,-z'
'x,-y,z'
'y,x,-z'
loop_
_atom_site_label
_atom_site_type_symbol
_atom_site_fract_x
_atom_site_fract_y
_atom_site_fract_z
La1 La 0.000 0.500 0.217
Sb1 Sb 0.000 0.000 0.000
Sb2 Sb 0.000 0.500 0.691
Sb3 Sb 0.500 0.500 0.000
Pb1 Pb 0.000 0.000 0.500
```



Number 3 is which compound?
La5SbPb2